[1]
Simulated X-ray powder pattern
Compound: Ho2Re2Si2C
Radiation: Cu Kα X-rays
Structure: a GGA-PBE-relaxed structure

The 8 most intense peaks (2θ = 5–70°), low angle first:
5.486 Å, rel. 26
3.452 Å, rel. 25
2.696 Å, rel. 44
2.680 Å, rel. 96
2.515 Å, rel. 100
2.209 Å, rel. 29
1.992 Å, rel. 30
1.590 Å, rel. 24

Atomic structure:
a = 10.924 Å, b = 3.983 Å, c = 6.912 Å
α = 90.00°, β = 127.46°, γ = 90.00°
Positions (direct):
1 Ho 0.072 0.000 0.299
2 Ho 0.428 0.500 0.701
3 Ho 0.572 0.500 0.299
4 Ho 0.928 0.000 0.701
5 Re 0.208 0.500 0.093
6 Re 0.292 0.000 0.907
7 Re 0.708 0.000 0.093
8 Re 0.792 0.500 0.907
9 Si 0.142 0.500 0.681
10 Si 0.358 0.000 0.319
11 Si 0.642 0.000 0.681
12 Si 0.858 0.500 0.319
13 C 0.000 0.500 0.000
14 C 0.500 0.000 0.000

[2]
Simulated X-ray powder pattern
Compound: Mg14AlW
Radiation: Cu Kα X-rays
Structure: a GGA-PBE-relaxed structure

The 8 most intense peaks (2θ = 5–70°), low angle first:
9.963 Å, rel. 48
5.410 Å, rel. 43
4.754 Å, rel. 55
3.665 Å, rel. 28
2.705 Å, rel. 29
2.491 Å, rel. 25
2.377 Å, rel. 100
1.415 Å, rel. 19

Atomic structure:
a = 6.247 Å, b = 6.247 Å, c = 9.963 Å
α = 90.00°, β = 90.00°, γ = 120.00°
Positions (direct):
1 Mg 0.000 0.000 0.250
2 Mg 0.000 0.000 0.750
3 Mg 0.015 0.508 0.245
4 Mg 0.015 0.508 0.755
5 Mg 0.334 0.167 0.000
6 Mg 0.334 0.167 0.500
7 Mg 0.492 0.508 0.245
8 Mg 0.492 0.508 0.755
9 Mg 0.492 0.985 0.245
10 Mg 0.492 0.985 0.755
11 Mg 0.833 0.167 0.000
12 Mg 0.833 0.167 0.500
13 Mg 0.833 0.666 0.000
14 Mg 0.833 0.666 0.500
15 Al 0.333 0.667 0.500
16 W 0.333 0.667 0.000

[3]
Simulated X-ray powder pattern
Compound: Mg2NiH4
Radiation: Cu Kα X-rays
Structure: a GGA-PBE-relaxed structure

The 8 most intense peaks (2θ = 5–70°), low angle first:
3.685 Å, rel. 100
3.662 Å, rel. 99
2.287 Å, rel. 85
2.259 Å, rel. 39
2.238 Å, rel. 38
2.214 Å, rel. 74
1.970 Å, rel. 17
1.920 Å, rel. 31

Atomic structure:
a = 4.431 Å, b = 4.431 Å, c = 6.577 Å
α = 90.37°, β = 90.37°, γ = 91.88°
Positions (direct):
1 Mg 0.003 0.506 0.755
2 Mg 0.494 0.997 0.245
3 Mg 0.506 0.003 0.755
4 Mg 0.997 0.494 0.245
5 Ni 0.000 0.000 0.500
6 Ni 0.500 0.500 0.000
7 H 0.240 0.760 0.500
8 H 0.249 0.249 0.982
9 H 0.250 0.250 0.517
10 H 0.483 0.483 0.234
11 H 0.517 0.517 0.766
12 H 0.750 0.750 0.483
13 H 0.751 0.751 0.018
14 H 0.760 0.240 0.500